This entry pairs a crystal structure of Ac2Pm3Y2 with its computed powder diffractogram. Radiation: CuKα. Structure: a PBE-relaxed structure.

Atomic structure:
Cell lengths 3.723, 8.914, 9.131 Å; angles 61.35, 89.96, 77.95 degrees
Fractional coordinates of all 7 atoms:
1 Ac 0.139 0.220 0.336
2 Ac 0.861 0.780 0.664
3 Pm 0.429 0.641 0.076
4 Pm 0.500 0.500 0.500
5 Pm 0.571 0.359 0.924
6 Y 0.204 0.091 0.801
7 Y 0.796 0.909 0.199

The 12 most intense peaks (2θ from 10° to 80°), in order of rising 2θ:
h k l	2theta	I (rel.)
1 1 -1	28.27	18
-1 1 1	28.59	49
1 2 0	29.78	57
0 1 -2	30.02	53
0 2 3	30.19	50
0 3 1	31.40	100
1 0 -3	39.72	16
1 -2 1	44.06	17
1 4 3	45.93	20
0 5 4	55.22	19
2 2 -2	58.47	16
-2 1 3	58.57	15